Record 1
Computed XRD peak list
Compound: LiTaPdO5
Radiation: Cu Kα (weighted mean of Kα1 and Kα2)
Structure: a cell relaxed with PBE
Kinematic intensities with the Lorentz-polarization factor, no thermal factor.

Structure:
a = 7.3234 Å, b = 8.4660 Å, c = 7.4771 Å
α = 90.00°, β = 117.14°, γ = 90.00°
Space group C2/c (No. 15)
Inequivalent atoms, fractional coordinates:
Li (0.0000, 0.2091, 0.2500) x4
Ta (0.0000, 0.5000, 0.0000) x4
Pd (0.0000, 0.1271, 0.7500) x4
O (0.0000, 0.4336, 0.2500) x4
O (0.0415, 0.2763, 0.9621) x8
O (0.1965, 0.0443, 0.3640) x8

The 6 most intense peaks (10 to 90 degrees two-theta), by angle:
| 2θ/deg | I/Imax | h k l |
| --- | --- | --- |
| 17.17 | 43 | 1 1 0 |
| 20.99 | 35 | 0 2 0 |
| 26.10 | 100 | 1 1 -2 |
| 27.37 | 57 | 2 0 0 |
| 34.64 | 37 | 1 3 0 |
| 37.06 | 25 | 1 1 2 |

Record 2
Computed XRD peak list
Compound: LaNi5H7
Radiation: Cu Kα (weighted mean of Kα1 and Kα2)
Structure: a cell relaxed with PBE
Kinematic intensities with the Lorentz-polarization factor, no thermal factor.

Structure:
a = 5.3251 Å, b = 5.3251 Å, c = 8.5777 Å
α = 90.00°, β = 90.00°, γ = 120.00°
Space group P31c (No. 159)
Inequivalent atoms, fractional coordinates:
La (0.0000, 0.0000, 0.0000) x2
Ni (0.0022, 0.5002, 0.2333) x6
Ni (0.3333, 0.6667, 0.4634) x2
Ni (0.3333, 0.6667, 0.9868) x2
H (0.0119, 0.5059, 0.5401) x6
H (0.1462, 0.8519, 0.2528) x6
H (0.3333, 0.6667, 0.7990) x2

The 6 most intense peaks (10 to 90 degrees two-theta), by angle:
| 2θ/deg | I/Imax | h k l |
| --- | --- | --- |
| 28.42 | 44 | 1 0 2 |
| 33.66 | 30 | 1 1 0 |
| 39.06 | 36 | 2 0 0 |
| 39.85 | 100 | 1 1 2 |
| 42.14 | 27 | 0 0 4 |
| 64.38 | 23 | 3 0 2 |

Record 3
Computed XRD peak list
Compound: Pa2Zn15Au2
Radiation: Cu Kα (weighted mean of Kα1 and Kα2)
Structure: a cell relaxed with PBE
Kinematic intensities with the Lorentz-polarization factor, no thermal factor.

Structure:
a = 8.9944 Å, b = 8.9944 Å, c = 13.2510 Å
α = 90.00°, β = 90.00°, γ = 120.00°
Space group R-3m (No. 166, hexagonal axes)
Inequivalent atoms, fractional coordinates:
Pa (0.0000, 0.0000, 0.1574) x6
Zn (0.0000, 0.2948, 0.5000) x18
Zn (0.0000, 0.5000, 0.0000) x9
Zn (0.0115, 0.5058, 0.6506) x18
Au (0.0000, 0.0000, 0.3880) x6

The 6 most intense peaks (10 to 90 degrees two-theta), by angle:
| 2θ/deg | I/Imax | h k l |
| --- | --- | --- |
| 19.74 | 62 | 1 1 0 |
| 34.54 | 86 | 3 0 0 |
| 35.58 | 68 | 0 2 4 |
| 40.10 | 100 | 2 2 0 |
| 40.29 | 75 | 0 3 3 |
| 41.01 | 58 | 2 1 4 |

Record 4
Computed XRD peak list
Compound: CuAg
Radiation: Cu Kα (weighted mean of Kα1 and Kα2)
Structure: a cell relaxed with PBE
Kinematic intensities with the Lorentz-polarization factor, no thermal factor.

Structure:
a = 4.7779 Å, b = 4.7794 Å, c = 7.2753 Å
α = 108.79°, β = 102.70°, γ = 99.67°
Space group P-1 (No. 2)
Inequivalent atoms, fractional coordinates:
Cu (0.0000, 0.0000, 0.0000) x1
Cu (0.1060, 0.1966, 0.7027) x2
Cu (0.4002, 0.8088, 0.8082) x2
Ag (0.1859, 0.3855, 0.3923) x2
Ag (0.2999, 0.6052, 0.0957) x2
Ag (0.5000, 0.0000, 0.5000) x1

The 6 most intense peaks (10 to 90 degrees two-theta), by angle:
| 2θ/deg | I/Imax | h k l |
| --- | --- | --- |
| 40.01 | 100 | 2 -1 0 |
| 40.09 | 98 | 1 0 -3 |
| 46.42 | 32 | -1 2 1 |
| 46.61 | 32 | 2 1 -2 |
| 46.72 | 31 | 1 -1 3 |
| 67.90 | 28 | -3 1 3 |